The following is a calculated XRD peak list of LaDyP2S8. It was derived from a crystal structure in Alexandria, relaxed with PBE, using Cu Kα (λ = 1.5418 Å).
Intensities are scaled so that the largest is 100.

Main lines, low angle first (2θ = 10–90°):
2θ/deg	intensity	index
15.5	100.0	1 0 0
18.6	29.1	1 0 1
25.8	53.4	1 0 2
27.0	49.0	1 1 0
34.2	56.7	1 1 2
37.7	46.8	2 0 2
41.8	25.4	0 0 4
44.9	18.4	1 0 4
47.0	24.1	2 1 2
55.6	18.8	2 2 0

```
data_LaDyP2S8
_chemical_formula_sum 'La1 Dy1 P2 S8'
_cell_length_a 6.6089
_cell_length_b 6.6089
_cell_length_c 8.6380
_cell_angle_alpha 90.00
_cell_angle_beta 90.00
_cell_angle_gamma 120.00
_symmetry_space_group_name_H-M 'P -3 m 1'
_symmetry_Int_Tables_number 164
_symmetry_space_group_name_Hall '-P 3 2"'
loop_
_atom_site_label
_atom_site_type_symbol
_atom_site_fract_x
_atom_site_fract_y
_atom_site_fract_z
La1 La 0.0000 0.0000 0.0000
Dy1 Dy 0.0000 0.0000 0.5000
P1 P 0.3333 0.6667 0.1923
S1 S 0.1638 0.3276 0.2734
S2 S 0.3333 0.6667 0.9631
```